# WN2
Theoretical powder X-ray diffraction pattern, CuKα. Input: a DFT-relaxed cell (GGA-PBE, the Materials Project).
No peak broadening, texture or thermal motion is included.

Principal peaks in the range 2θ = 15–90°, sorted by position:
| two_theta | d_spacing | intensity |
| --- | --- | --- |
| 17.7 | 5.006 | 21 |
| 22.6 | 3.927 | 100 |
| 33.5 | 2.675 | 27 |
| 34.1 | 2.629 | 22 |
| 35.9 | 2.503 | 25 |
| 57.1 | 1.613 | 23 |

abc: 5.780 5.780 6.331
angles: 90.00 90.00 120.00
Element x y z (fractional)
W  0.000  0.475  0.167
W  0.475  0.000  0.833
W  0.525  0.525  0.500
N  0.163  0.742  0.964
N  0.258  0.421  0.297
N  0.421  0.258  0.703
N  0.579  0.837  0.631
N  0.742  0.163  0.036
N  0.837  0.579  0.369